No. 1
Starting from a structure optimized by DFT (PBE), the X-ray diffraction stick pattern of CaBr2 was calculated for Cu Kα.
Peak positions follow from Bragg's law for the DFT cell and can differ from measured ones.

Top 12 peaks for 2θ = 15–90°, most intense first:
2θ = 27.4°, 3.250 Å, I = 100.0
2θ = 28.8°, 3.103 Å, I = 38.1
2θ = 36.1°, 2.488 Å, I = 30.2
2θ = 43.9°, 2.060 Å, I = 27.4
2θ = 18.3°, 4.842 Å, I = 20.9
2θ = 37.1°, 2.421 Å, I = 18.2
2θ = 47.5°, 1.914 Å, I = 17.0
2θ = 41.2°, 2.192 Å, I = 16.8
2θ = 26.6°, 3.351 Å, I = 16.6
2θ = 51.0°, 1.790 Å, I = 14.8
2θ = 72.8°, 1.300 Å, I = 12.0
2θ = 52.1°, 1.755 Å, I = 10.1

Crystal structure
Lattice parameters (Å, degrees): 6.7011 7.0033 4.3836 90.00 90.00 90.00
Atoms (fractional coordinates):
Ca (0.0000, 0.0000, 0.0000)
Ca (0.5000, 0.5000, 0.5000)
Br (0.2236, 0.1732, 0.5000)
Br (0.2764, 0.6732, 0.0000)
Br (0.7236, 0.3268, 0.0000)
Br (0.7764, 0.8268, 0.5000)


No. 2
Starting from a structure optimized by DFT (PBE), the X-ray diffraction stick pattern of Co3Ru was calculated for Cu Kα.
Peak positions follow from Bragg's law for the DFT cell and can differ from measured ones.

Top 12 peaks for 2θ = 15–90°, most intense first:
2θ = 46.7°, 1.945 Å, I = 100.0
2θ = 44.4°, 2.039 Å, I = 25.9
2θ = 40.8°, 2.213 Å, I = 25.1
2θ = 83.5°, 1.158 Å, I = 16.7
2θ = 74.2°, 1.278 Å, I = 15.3
2θ = 61.9°, 1.500 Å, I = 13.6
2θ = 29.8°, 2.999 Å, I = 8.2
2θ = 35.1°, 2.555 Å, I = 3.1
2θ = 88.3°, 1.106 Å, I = 2.4
2θ = 20.1°, 4.426 Å, I = 2.0
2θ = 59.8°, 1.548 Å, I = 1.6
2θ = 57.9°, 1.594 Å, I = 1.6

Crystal structure
Lattice parameters (Å, degrees): 5.1106 5.1106 4.0779 90.00 90.00 120.00
Atoms (fractional coordinates):
Co (0.1635, 0.3270, 0.2500)
Co (0.1635, 0.8365, 0.2500)
Co (0.3270, 0.1635, 0.7500)
Co (0.6730, 0.8365, 0.2500)
Co (0.8365, 0.1635, 0.7500)
Co (0.8365, 0.6730, 0.7500)
Ru (0.3333, 0.6667, 0.7500)
Ru (0.6667, 0.3333, 0.2500)


No. 3
Starting from a structure optimized by DFT (PBE), the X-ray diffraction stick pattern of GdMn2Si2 was calculated for Cu Kα.
Peak positions follow from Bragg's law for the DFT cell and can differ from measured ones.

Top 12 peaks for 2θ = 15–90°, most intense first:
2θ = 37.0°, 2.431 Å, I = 100.0
2θ = 35.2°, 2.552 Å, I = 62.9
2θ = 24.3°, 3.657 Å, I = 53.3
2θ = 46.3°, 1.962 Å, I = 38.5
2θ = 59.4°, 1.555 Å, I = 27.3
2θ = 50.9°, 1.793 Å, I = 21.0
2θ = 79.6°, 1.205 Å, I = 20.0
2θ = 64.9°, 1.437 Å, I = 18.9
2θ = 35.6°, 2.520 Å, I = 17.3
2θ = 71.2°, 1.324 Å, I = 15.4
2θ = 59.7°, 1.548 Å, I = 14.8
2θ = 53.0°, 1.729 Å, I = 13.7

Crystal structure
Lattice parameters (Å, degrees): 5.7536 5.7536 5.7536 140.12 140.12 57.66
Atoms (fractional coordinates):
Gd (0.0000, 0.0000, 0.0000)
Mn (0.2500, 0.7500, 0.5000)
Mn (0.7500, 0.2500, 0.5000)
Si (0.3733, 0.3733, 0.0000)
Si (0.6267, 0.6267, 0.0000)


No. 4
Starting from a structure optimized by DFT (PBE), the X-ray diffraction stick pattern of NaCu2Se2O10 was calculated for Cu Kα.
Peak positions follow from Bragg's law for the DFT cell and can differ from measured ones.

Top 12 peaks for 2θ = 15–90°, most intense first:
2θ = 23.0°, 3.865 Å, I = 100.0
2θ = 18.2°, 4.887 Å, I = 60.5
2θ = 25.7°, 3.461 Å, I = 56.1
2θ = 34.7°, 2.585 Å, I = 53.6
2θ = 31.0°, 2.881 Å, I = 44.0
2θ = 32.4°, 2.761 Å, I = 36.1
2θ = 31.5°, 2.836 Å, I = 35.8
2θ = 50.7°, 1.800 Å, I = 32.0
2θ = 25.3°, 3.524 Å, I = 22.7
2θ = 67.9°, 1.381 Å, I = 14.7
2θ = 18.4°, 4.831 Å, I = 14.4
2θ = 59.8°, 1.547 Å, I = 13.7

Crystal structure
Lattice parameters (Å, degrees): 5.6349 5.6349 8.3937 116.46 116.46 66.61
Atoms (fractional coordinates):
Na (0.0000, 0.0000, 0.0000)
Cu (0.0000, 0.5000, 0.5000)
Cu (0.5000, 0.0000, 0.5000)
Se (0.4158, 0.4158, 0.2086)
Se (0.5842, 0.5842, 0.7914)
O (0.1797, 0.1797, 0.5464)
O (0.2329, 0.6878, 0.7315)
O (0.2891, 0.2891, 0.9790)
O (0.3106, 0.3106, 0.3165)
O (0.3122, 0.7671, 0.2685)
O (0.6878, 0.2329, 0.7315)
O (0.6894, 0.6894, 0.6835)
O (0.7109, 0.7109, 0.0210)
O (0.7671, 0.3122, 0.2685)
O (0.8203, 0.8203, 0.4536)


No. 5
Starting from a structure optimized by DFT (PBE), the X-ray diffraction stick pattern of Sr3P14 was calculated for Cu Kα.
Peak positions follow from Bragg's law for the DFT cell and can differ from measured ones.

Top 12 peaks for 2θ = 15–90°, most intense first:
2θ = 30.9°, 2.898 Å, I = 100.0
2θ = 32.4°, 2.761 Å, I = 53.1
2θ = 17.9°, 4.964 Å, I = 45.1
2θ = 31.1°, 2.872 Å, I = 44.1
2θ = 19.6°, 4.533 Å, I = 40.4
2θ = 27.7°, 3.217 Å, I = 37.5
2θ = 32.6°, 2.749 Å, I = 26.1
2θ = 23.7°, 3.756 Å, I = 24.8
2θ = 30.2°, 2.957 Å, I = 24.4
2θ = 31.3°, 2.860 Å, I = 24.4
2θ = 44.7°, 2.028 Å, I = 22.9
2θ = 33.4°, 2.679 Å, I = 20.6

Crystal structure
Lattice parameters (Å, degrees): 6.3856 12.8729 11.8315 90.00 122.60 90.00
Atoms (fractional coordinates):
Sr (0.0000, 0.0000, 0.0000)
Sr (0.0000, 0.5000, 0.5000)
Sr (0.1970, 0.1587, 0.3897)
Sr (0.1970, 0.3413, 0.8897)
Sr (0.8030, 0.6587, 0.1103)
Sr (0.8030, 0.8413, 0.6103)
P (0.0238, 0.1485, 0.6472)
P (0.0238, 0.3515, 0.1472)
P (0.2427, 0.2259, 0.1387)
P (0.2427, 0.2741, 0.6387)
P (0.2501, 0.0037, 0.6831)
P (0.2501, 0.4963, 0.1831)
P (0.2796, 0.0826, 0.8596)
P (0.2796, 0.4174, 0.3596)
P (0.3806, 0.7092, 0.7294)
P (0.3806, 0.7908, 0.2294)
P (0.3871, 0.6763, 0.5487)
P (0.3871, 0.8237, 0.0487)
P (0.4274, 0.5534, 0.8195)
P (0.4274, 0.9466, 0.3195)
P (0.5726, 0.0534, 0.6805)
P (0.5726, 0.4466, 0.1805)
P (0.6129, 0.1763, 0.9513)
P (0.6129, 0.3237, 0.4513)
P (0.6194, 0.2092, 0.7706)
P (0.6194, 0.2908, 0.2706)
P (0.7204, 0.5826, 0.6404)
P (0.7204, 0.9174, 0.1404)
P (0.7499, 0.5037, 0.8169)
P (0.7499, 0.9963, 0.3169)
P (0.7573, 0.7259, 0.3613)
P (0.7573, 0.7741, 0.8613)
P (0.9762, 0.6485, 0.8528)
P (0.9762, 0.8515, 0.3528)


No. 6
Starting from a structure optimized by DFT (PBE), the X-ray diffraction stick pattern of NbSb3O8 was calculated for Cu Kα.
Peak positions follow from Bragg's law for the DFT cell and can differ from measured ones.

Top 12 peaks for 2θ = 15–90°, most intense first:
2θ = 28.3°, 3.158 Å, I = 100.0
2θ = 28.4°, 3.147 Å, I = 99.4
2θ = 25.1°, 3.545 Å, I = 63.9
2θ = 29.9°, 2.985 Å, I = 56.8
2θ = 32.9°, 2.720 Å, I = 29.1
2θ = 36.2°, 2.484 Å, I = 21.0
2θ = 52.1°, 1.757 Å, I = 20.9
2θ = 52.5°, 1.744 Å, I = 20.3
2θ = 49.7°, 1.834 Å, I = 20.3
2θ = 52.2°, 1.751 Å, I = 19.7
2θ = 35.5°, 2.530 Å, I = 19.3
2θ = 19.3°, 4.591 Å, I = 18.2

Crystal structure
Lattice parameters (Å, degrees): 4.9683 5.5862 12.9071 90.00 112.33 90.00
Atoms (fractional coordinates):
Nb (0.0000, 0.1216, 0.0000)
Nb (0.0000, 0.8784, 0.5000)
Sb (0.2956, 0.2743, 0.7462)
Sb (0.2956, 0.7257, 0.2462)
Sb (0.4892, 0.3794, 0.4947)
Sb (0.4892, 0.6206, 0.9947)
Sb (0.7083, 0.2173, 0.2488)
Sb (0.7083, 0.7827, 0.7488)
O (0.1443, 0.1693, 0.4354)
O (0.1443, 0.8307, 0.9354)
O (0.2375, 0.3297, 0.9396)
O (0.2375, 0.6703, 0.4396)
O (0.3116, 0.0681, 0.1494)
O (0.3116, 0.9319, 0.6494)
O (0.4936, 0.4320, 0.6504)
O (0.4936, 0.5680, 0.1504)
O (0.5056, 0.4023, 0.3367)
O (0.5056, 0.5977, 0.8367)
O (0.6726, 0.0969, 0.8380)
O (0.6726, 0.9031, 0.3380)
O (0.7633, 0.1099, 0.5484)
O (0.7633, 0.8901, 0.0484)
O (0.8301, 0.3930, 0.0439)
O (0.8301, 0.6070, 0.5439)